This entry pairs a crystal structure of Ag3GeSe4 with its computed PXRD pattern. Radiation: copper Kα. Structure: the PBE geometry in OQMD.

Structure:
```
Ag3GeSe4
1.0
-3.0053 3.0053 5.8728
3.0053 -3.0053 5.8728
3.0053 3.0053 -5.8728
Ag Ge Se
3 1 4
Cartesian
0.0000 0.0000 0.0000
3.0053 0.0000 2.9364
0.0000 3.0053 2.9364
0.0000 0.0000 5.8728
1.6011 1.6011 -1.3969
1.4043 -1.4043 7.2697
1.4043 1.4043 4.4758
-1.4043 1.4043 7.2697
```

Principal peaks in the range 2θ from 10° to 90°, sorted by position:
- 25.9 deg, I 100
- 42.5 deg, I 25
- 43.1 deg, I 48
- 50.5 deg, I 30
- 51.4 deg, I 14
- 78.2 deg, I 15